# 1
This entry pairs a crystal structure of CrP2 with its simulated PXRD pattern. Radiation: CuKα. Structure: a cell relaxed with GGA-PBE.
Kinematic intensities with the Lorentz-polarization factor, no thermal factor.

Peak list (12 most intense, 10 to 80 degrees two-theta, low angle first)
21.83 deg, I = 40
38.05 deg, I = 100
38.23 deg, I = 24
43.95 deg, I = 29
46.16 deg, I = 30
48.12 deg, I = 32
48.41 deg, I = 21
48.87 deg, I = 36
49.85 deg, I = 21
51.30 deg, I = 25
51.93 deg, I = 34
61.68 deg, I = 22

Atomic structure:
```
CrP2
1.0
4.091 -1.504 0.000
4.091 1.504 0.000
-3.490 0.000 6.180
Cr P
2 4
Cartesian
0.572 0.000 1.265
4.120 0.000 4.915
-0.664 0.000 3.267
2.915 0.000 0.613
1.777 0.000 5.568
5.355 0.000 2.913
```

---

# 2
This entry pairs a crystal structure of Eu2TlCl5 with its simulated PXRD pattern. Radiation: CuKα. Structure: a cell relaxed with GGA-PBE.
Kinematic intensities with the Lorentz-polarization factor, no thermal factor.

Peak list (12 most intense, 10 to 80 degrees two-theta, low angle first)
22.39 deg, I = 30
23.75 deg, I = 100
24.15 deg, I = 15
24.29 deg, I = 19
30.98 deg, I = 12
33.16 deg, I = 20
33.26 deg, I = 22
34.59 deg, I = 14
40.12 deg, I = 37
42.18 deg, I = 13
42.39 deg, I = 14
47.02 deg, I = 13

Atomic structure:
```
Eu2TlCl5
1.0
8.992 0.000 0.000
0.000 7.943 0.000
-0.074 0.000 12.759
Eu Tl Cl
8 4 20
Cartesian
-0.009 0.185 2.276
-0.046 3.786 8.656
8.964 4.156 4.103
8.927 7.758 10.483
2.217 4.553 0.083
2.179 7.361 6.463
6.739 0.582 6.296
6.701 3.389 12.675
4.427 4.132 4.151
4.389 7.782 10.530
4.528 0.161 2.228
4.491 3.810 8.608
0.345 1.266 5.102
0.308 2.705 11.482
1.854 1.286 8.718
1.891 2.686 2.339
1.866 4.366 6.415
1.903 7.548 0.036
1.925 5.514 10.016
1.962 6.400 3.636
4.142 1.275 5.265
4.105 2.696 11.644
4.813 5.247 1.114
4.776 6.667 7.494
6.956 1.543 9.123
6.993 2.428 2.743
7.015 0.395 12.723
7.052 3.577 6.344
7.027 5.257 10.420
7.064 6.657 4.041
8.610 5.237 1.277
8.573 6.677 7.656
```

---

# 3
This entry pairs a crystal structure of TeMoS with its simulated PXRD pattern. Radiation: CuKα. Structure: a cell relaxed with GGA-PBE.
Kinematic intensities with the Lorentz-polarization factor, no thermal factor.

Peak list (12 most intense, 10 to 80 degrees two-theta, low angle first)
11.56 deg, I = 85
13.88 deg, I = 15
20.89 deg, I = 14
30.77 deg, I = 60
31.10 deg, I = 13
33.87 deg, I = 13
36.14 deg, I = 100
38.89 deg, I = 31
43.75 deg, I = 46
54.65 deg, I = 30
67.28 deg, I = 16
77.25 deg, I = 14

Atomic structure:
```
TeMoS
1.0
3.359 0.000 0.000
-1.680 2.909 0.000
0.000 0.000 38.270
Te Mo S
4 4 4
Cartesian
0.000 1.939 8.892
0.000 1.939 12.678
1.680 0.970 25.592
1.680 0.970 29.379
0.000 1.939 3.595
0.000 1.939 27.484
1.680 0.970 10.786
1.680 0.970 34.676
0.000 1.939 33.161
0.000 1.939 36.190
1.680 0.970 2.080
1.680 0.970 5.109
```

---

# 4
This entry pairs a crystal structure of CuTe with its simulated PXRD pattern. Radiation: CuKα. Structure: a cell relaxed with GGA-PBE.
Kinematic intensities with the Lorentz-polarization factor, no thermal factor.

Peak list (12 most intense, 10 to 80 degrees two-theta, low angle first)
12.42 deg, I = 32
24.98 deg, I = 9
25.34 deg, I = 55
30.66 deg, I = 61
33.52 deg, I = 12
37.86 deg, I = 9
38.06 deg, I = 25
44.19 deg, I = 100
44.86 deg, I = 20
55.32 deg, I = 22
57.70 deg, I = 9
75.46 deg, I = 12

Atomic structure:
```
CuTe
1.0
3.196 0.000 0.000
0.000 4.041 0.000
0.000 0.000 7.129
Cu Te
2 2
Cartesian
0.799 1.010 0.295
2.397 3.031 6.834
0.799 3.031 1.945
2.397 1.010 5.184
```

---

# 5
This entry pairs a crystal structure of TiFe2 with its simulated PXRD pattern. Radiation: CuKα. Structure: a cell relaxed with GGA-PBE.
Kinematic intensities with the Lorentz-polarization factor, no thermal factor.

Peak list (12 most intense, 10 to 80 degrees two-theta, low angle first)
21.45 deg, I = 15
37.61 deg, I = 22
41.10 deg, I = 62
43.71 deg, I = 9
44.49 deg, I = 100
45.31 deg, I = 94
46.76 deg, I = 23
49.90 deg, I = 27
52.00 deg, I = 13
70.25 deg, I = 20
72.68 deg, I = 20
76.66 deg, I = 26

Atomic structure:
```
TiFe2
1.0
4.783 0.000 0.000
-2.392 4.142 0.000
0.000 0.000 7.770
Ti Fe
4 8
Cartesian
0.000 2.762 0.485
0.000 2.762 3.400
2.392 1.381 4.370
2.392 1.381 7.285
0.000 0.000 0.000
0.000 0.000 3.885
0.000 1.403 5.828
-1.176 3.441 5.828
1.215 0.702 1.943
1.176 3.441 5.828
3.568 0.702 1.943
2.392 2.739 1.943
```

---

# 6
This entry pairs a crystal structure of ErB2Rh3 with its simulated PXRD pattern. Radiation: CuKα. Structure: a cell relaxed with GGA-PBE.
Kinematic intensities with the Lorentz-polarization factor, no thermal factor.

Peak list (12 most intense, 10 to 80 degrees two-theta, low angle first)
18.89 deg, I = 6
28.60 deg, I = 6
34.49 deg, I = 82
38.31 deg, I = 100
44.23 deg, I = 48
48.50 deg, I = 11
59.20 deg, I = 10
59.92 deg, I = 33
66.83 deg, I = 14
69.27 deg, I = 19
72.74 deg, I = 30
79.74 deg, I = 15

Atomic structure:
```
ErB2Rh3
1.0
5.426 0.000 0.000
-2.713 4.699 0.000
0.000 0.000 3.122
Er B Rh
1 2 3
Cartesian
0.000 0.000 0.000
0.000 3.133 0.000
2.713 1.566 0.000
-1.356 2.349 1.561
2.713 0.000 1.561
1.356 2.349 1.561
```

---

# 7
This entry pairs a crystal structure of CsUBr3 with its simulated PXRD pattern. Radiation: CuKα. Structure: a cell relaxed with GGA-PBE.
Kinematic intensities with the Lorentz-polarization factor, no thermal factor.

Peak list (12 most intense, 10 to 80 degrees two-theta, low angle first)
15.31 deg, I = 46
21.72 deg, I = 97
30.91 deg, I = 100
34.67 deg, I = 26
38.10 deg, I = 47
44.28 deg, I = 74
47.12 deg, I = 14
49.84 deg, I = 22
54.97 deg, I = 26
59.80 deg, I = 26
68.84 deg, I = 13
73.15 deg, I = 34

Atomic structure:
```
CsUBr3
1.0
5.786 0.000 0.000
0.000 5.786 0.000
0.000 0.000 5.786
Cs U Br
1 1 3
Cartesian
0.000 0.000 0.000
2.893 2.893 2.893
0.000 2.893 2.893
2.893 0.000 2.893
2.893 2.893 0.000
```

---

# 8
This entry pairs a crystal structure of LiTl2GaF6 with its simulated PXRD pattern. Radiation: CuKα. Structure: a cell relaxed with GGA-PBE.
Kinematic intensities with the Lorentz-polarization factor, no thermal factor.

Peak list (12 most intense, 10 to 80 degrees two-theta, low angle first)
18.36 deg, I = 8
21.23 deg, I = 46
30.20 deg, I = 100
37.21 deg, I = 38
43.23 deg, I = 34
48.65 deg, I = 24
53.64 deg, I = 41
62.80 deg, I = 21
67.09 deg, I = 12
71.25 deg, I = 19
75.31 deg, I = 13
79.30 deg, I = 7

Atomic structure:
```
LiTl2GaF6
1.0
0.000 4.185 4.185
4.185 0.000 4.185
4.185 4.185 0.000
Li Tl Ga F
1 2 1 6
Cartesian
0.000 0.000 0.000
2.093 2.093 2.093
6.278 6.278 6.278
4.185 4.185 4.185
4.185 4.185 2.236
4.185 2.236 4.185
6.134 4.185 4.185
2.236 4.185 4.185
4.185 6.134 4.185
4.185 4.185 6.134
```